LiBiF4: calculated powder diffraction line list (a wavelength of 1.5418 Å), based on a cell relaxed with PBE.

Largest 6 diffraction maxima, sorted by position, 15 to 90 degrees two-theta:
- hkl 1 0 1, 2θ 18.3, d 4.840, rel. 100
- hkl 1 1 2, 2θ 28.4, d 3.146, rel. 76
- hkl 2 1 1, 2θ 38.4, d 2.343, rel. 36
- hkl 1 2 3, 2θ 44.8, d 2.021, rel. 26
- hkl 2 0 4, 2θ 46.7, d 1.943, rel. 25
- hkl 1 3 2, 2θ 56.7, d 1.622, rel. 25

Structural model:
```
data_LiBiF4
_space_group_name_H-M_alt 'I 41/a'
_space_group_IT_number 88
_cell_length_a 5.3559
_cell_length_b 5.3559
_cell_length_c 11.2987
_cell_angle_alpha 90.00
_cell_angle_beta 90.00
_cell_angle_gamma 90.00
loop_
_space_group_symop_operation_xyz
'x,y,z'
'-x,-y,-z'
'-y+3/4,x+1/4,z+1/4'
'y+3/4,-x+1/4,-z+1/4'
'-x+1/2,-y,z+1/2'
'x+1/2,y,-z+1/2'
'y+3/4,-x+3/4,z+3/4'
'-y+3/4,x+3/4,-z+3/4'
'x+1/2,y+1/2,z+1/2'
'-x+1/2,-y+1/2,-z+1/2'
'-y+1/4,x+3/4,z+3/4'
'y+1/4,-x+3/4,-z+3/4'
'-x,-y+1/2,z'
'x,y+1/2,-z'
'y+1/4,-x+1/4,z+1/4'
'-y+1/4,x+1/4,-z+1/4'
loop_
_atom_site_label
_atom_site_fract_x
_atom_site_fract_y
_atom_site_fract_z
_atom_site_occupancy
Li1 0.0000 0.2500 0.1250 1
Bi1 0.0000 0.2500 0.6250 1
F1 0.1616 0.0263 0.7944 1
```